This entry pairs a crystal structure of ErTm2Ge4Pd4 with its computed powder XRD pattern. Radiation: Cu Kα, 1.54184 Å. Structure: a structure optimized by DFT (PBE).
Peak positions follow from Bragg's law for the DFT cell and can differ from measured ones.

Top 12 peaks for 10° ≤ 2θ ≤ 80°, in order of rising 2θ:
2θ/deg  Rel. int.
33.88  100
34.67  30
36.03  86
38.66  23
38.89  16
42.95  34
43.67  38
46.97  14
56.91  21
62.92  21
75.21  15
76.02  15

Structure:
a = 8.071 Å, b = 8.071 Å, c = 8.071 Å
α = 150.24°, β = 127.87°, γ = 61.18°
Positions (direct):
Er  0.000  0.000  0.000
Tm  0.374  0.874  0.500
Tm  0.626  0.126  0.500
Ge  0.218  0.218  0.000
Ge  0.312  0.500  0.812
Ge  0.688  0.500  0.188
Ge  0.782  0.782  0.000
Pd  0.026  0.325  0.701
Pd  0.376  0.675  0.701
Pd  0.624  0.325  0.299
Pd  0.974  0.675  0.299